# 1
Theoretical powder diffractogram of BaLaZnRuO6 for λ = 1.5418 Å (Cu Kα), from a DFT-relaxed cell (PBE, the Materials Project).

Structure:
```
data_BaLaZnRuO6
_chemical_formula_sum 'Ba1 La1 Zn1 Ru1 O6'
_symmetry_space_group_name_H-M 'P 1'
_symmetry_Int_Tables_number 1
_symmetry_space_group_name_Hall 'P 1'
_cell_length_a 5.7403
_cell_length_b 5.7403
_cell_length_c 5.7403
_cell_angle_alpha 120.95
_cell_angle_beta 120.95
_cell_angle_gamma 88.36
loop_
_atom_site_label
_atom_site_type_symbol
_atom_site_fract_x
_atom_site_fract_y
_atom_site_fract_z
_atom_site_occupancy
Ba1 Ba 0.0000 0.0000 0.0000 1
La1 La 0.5000 0.5000 0.0000 1
Zn1 Zn 0.2500 0.7500 0.5000 1
Ru1 Ru 0.7500 0.2500 0.5000 1
O1 O 0.0637 0.0792 0.6029 1
O2 O 0.4763 0.4608 0.3971 1
O3 O 0.5074 0.0074 0.5000 1
O4 O 0.5392 0.9363 0.0156 1
O5 O 0.9208 0.5237 0.9844 1
O6 O 0.9926 0.4926 0.5000 1
```

Peak list (6 most intense, 10° ≤ 2θ ≤ 90°, low angle first)
| d (Å) | 2θ/deg | Rel. int. |
| --- | --- | --- |
| 2.869 | 31.18 | 100 |
| 2.829 | 31.63 | 53 |
| 2.000 | 45.34 | 28 |
| 1.664 | 55.19 | 22 |
| 1.641 | 56.05 | 42 |
| 1.434 | 65.02 | 18 |

# 2
Theoretical powder diffractogram of RbGaH4 for λ = 1.5418 Å (Cu Kα), from a DFT-relaxed cell (PBE, the Materials Project).

Structure:
```
data_RbGaH4
_chemical_formula_sum 'Rb4 Ga4 H16'
_symmetry_space_group_name_H-M 'P 1'
_symmetry_Int_Tables_number 1
_symmetry_space_group_name_Hall 'P 1'
_cell_length_a 9.7179
_cell_length_b 5.9214
_cell_length_c 7.8123
_cell_angle_alpha 90.00
_cell_angle_beta 90.00
_cell_angle_gamma 90.00
loop_
_atom_site_label
_atom_site_type_symbol
_atom_site_fract_x
_atom_site_fract_y
_atom_site_fract_z
_atom_site_occupancy
Rb1 Rb 0.1825 0.2500 0.1625 1
Rb2 Rb 0.3175 0.7500 0.6625 1
Rb3 Rb 0.6825 0.2500 0.3375 1
Rb4 Rb 0.8175 0.7500 0.8375 1
Ga1 Ga 0.0621 0.2500 0.6931 1
Ga2 Ga 0.4379 0.7500 0.1931 1
Ga3 Ga 0.5621 0.2500 0.8069 1
Ga4 Ga 0.9379 0.7500 0.3069 1
H1 H 0.0818 0.0313 0.8125 1
H2 H 0.0818 0.4687 0.8125 1
H3 H 0.0885 0.7500 0.3859 1
H4 H 0.1796 0.2500 0.5506 1
H5 H 0.3204 0.7500 0.0506 1
H6 H 0.4115 0.2500 0.8859 1
H7 H 0.4182 0.5313 0.3125 1
H8 H 0.4182 0.9687 0.3125 1
H9 H 0.5818 0.0313 0.6875 1
H10 H 0.5818 0.4687 0.6875 1
H11 H 0.5885 0.7500 0.1141 1
H12 H 0.6796 0.2500 0.9494 1
H13 H 0.8204 0.7500 0.4494 1
H14 H 0.9115 0.2500 0.6141 1
H15 H 0.9182 0.5313 0.1875 1
H16 H 0.9182 0.9687 0.1875 1
```

Peak list (6 most intense, 10° ≤ 2θ ≤ 90°, low angle first)
| d (Å) | 2θ/deg | Rel. int. |
| --- | --- | --- |
| 3.756 | 23.69 | 92 |
| 3.624 | 24.56 | 47 |
| 3.385 | 26.33 | 100 |
| 3.091 | 28.88 | 49 |
| 2.961 | 30.19 | 47 |
| 2.319 | 38.84 | 48 |

Q: What is the formula in the first record?
A: BaLaZnRuO6